The following is a computed XRD peak list of Pu8Pt2Rh3. It was derived from a PBE-relaxed structure, using Cu Ka.
Peak positions follow from Bragg's law for the DFT cell and can differ from measured ones.

Largest 8 diffraction maxima, low angle first, 2θ = 15–90°:
2θ/deg  I (rel.)
29.16  51
31.02  49
35.81  100
36.21  44
36.76  98
36.94  74
39.14  38
40.85  37

Structure:
```
Pu8Pt2Rh3
1.0
5.0195 0.0000 0.0000
-2.2155 6.8977 0.0000
-1.2148 -1.0587 7.9238
Pu Pt Rh
8 2 3
Cartesian
-0.5079 0.5695 2.6436
-0.0901 2.5898 0.1546
-0.5654 3.6382 3.2441
-0.6448 6.0814 0.9229
2.2340 -0.2425 7.0009
2.1547 2.2007 4.6797
1.6794 3.2492 7.7692
2.0972 5.2695 5.2802
-0.5874 3.8176 6.2445
2.1767 2.0214 1.6793
-0.2080 1.0393 5.4659
1.9024 -0.5294 3.9619
1.7972 4.7996 2.4579
```